This entry pairs a crystal structure of Li7Co5O12 with its theoretical XRD peak list. Radiation: copper Kα. Structure: DFT lattice parameters and positions (PBE+U).
No peak broadening, texture or thermal motion is included.

Peak list (10 most intense, 2θ from 10° to 90°, sorted by position)
h k l	2theta	I (rel.)
0 0 1	12.76	7.0
0 1 0	18.78	100.0
1 1 1	19.08	7.0
0 1 3	37.17	36.8
0 2 3	44.81	25.5
2 0 2	44.97	50.3
2 3 -1	59.24	9.5
-2 2 1	64.77	13.3
2 2 5	65.95	13.5
4 3 1	69.11	9.2

Atomic structure:
```
Li7Co5O12
1.0
5.677 0.000 0.000
2.836 5.010 0.000
1.427 2.448 6.936
Li Co O
7 5 12
direct
0.000 0.000 0.000 Li
0.000 0.500 0.000 Li
0.163 0.011 0.329 Li
0.336 0.997 0.666 Li
0.500 0.000 0.000 Li
0.664 0.003 0.334 Li
0.837 0.989 0.671 Li
0.164 0.504 0.331 Co
0.331 0.496 0.671 Co
0.500 0.500 0.000 Co
0.669 0.504 0.329 Co
0.836 0.496 0.669 Co
0.015 0.716 0.510 O
0.161 0.272 0.813 O
0.198 0.720 0.834 O
0.334 0.281 0.165 O
0.346 0.723 0.170 O
0.485 0.289 0.492 O
0.515 0.711 0.508 O
0.654 0.277 0.830 O
0.666 0.719 0.835 O
0.802 0.280 0.166 O
0.839 0.728 0.187 O
0.985 0.284 0.490 O
```